[1]
Structure and calculated powder diffractogram of Li2VOF4 (a structure optimized by DFT (PBE+U); copper Kα).

Principal peaks in the range 10° ≤ 2θ ≤ 90°, sorted by position:
two_theta  intensity
18.31  90
19.69  100
26.69  48
30.82  39
32.83  26
39.42  39
40.02  52
42.68  29
50.37  25
63.98  24

Structural model:
abc: 5.0952 5.7859 7.0601
angles: 108.90 90.02 116.10
Sites, in units of the cell vectors:
Li 0.0000 0.0000 0.0000
Li 0.0006 0.0003 0.4999
Li 0.2773 0.5706 0.4879
Li 0.2940 0.5710 0.9882
V 0.6247 0.2810 0.2697
V 0.6563 0.2807 0.7694
O 0.4914 0.2796 0.4922
O 0.7875 0.2779 0.9918
F 0.0501 0.4548 0.7020
F 0.2348 0.1105 0.7830
F 0.3064 0.9260 0.0985
F 0.4045 0.4543 0.2013
F 0.6199 0.9259 0.5976
F 0.6636 0.6374 0.8823
F 0.8768 0.1115 0.2838
F 0.9744 0.6377 0.3816

***

[2]
Structure and calculated powder diffractogram of Ba3Fe10SnO20 (a structure optimized by DFT (PBE+U); copper Kα).

Principal peaks in the range 10° ≤ 2θ ≤ 90°, sorted by position:
two_theta  intensity
27.44  100
27.89  57
28.16  80
28.56  56
29.84  52
30.11  38
33.80  65
34.83  35
54.10  34
54.68  36

Structural model:
abc: 10.1046 10.1046 5.3043
angles: 104.32 104.32 73.09
Sites, in units of the cell vectors:
Ba 0.0000 0.0000 0.0000
Ba 0.2785 0.2785 0.2645
Ba 0.7215 0.7215 0.7355
Fe 0.0034 0.2827 0.6519
Fe 0.1475 0.5804 0.8394
Fe 0.2827 0.0034 0.6519
Fe 0.3706 0.6294 0.5000
Fe 0.4196 0.8525 0.1606
Fe 0.5804 0.1475 0.8394
Fe 0.6294 0.3706 0.5000
Fe 0.7173 0.9966 0.3481
Fe 0.8525 0.4196 0.1606
Fe 0.9966 0.7173 0.3481
Sn 0.5000 0.5000 0.0000
O 0.0006 0.7178 0.9900
O 0.0994 0.0994 0.5055
O 0.1229 0.3990 0.6746
O 0.1786 0.6621 0.5731
O 0.2822 0.9994 0.0100
O 0.3056 0.5489 0.1217
O 0.3379 0.8214 0.4269
O 0.3990 0.1229 0.6746
O 0.4372 0.4372 0.5982
O 0.4511 0.6944 0.8783
O 0.5489 0.3056 0.1217
O 0.5628 0.5628 0.4018
O 0.6010 0.8771 0.3254
O 0.6621 0.1786 0.5731
O 0.6944 0.4511 0.8783
O 0.7178 0.0006 0.9900
O 0.8214 0.3379 0.4269
O 0.8771 0.6010 0.3254
O 0.9006 0.9006 0.4945
O 0.9994 0.2822 0.0100

***

[3]
Structure and calculated powder diffractogram of MgZn2Fe4O8 (a structure optimized by DFT (PBE+U); copper Kα).

Principal peaks in the range 10° ≤ 2θ ≤ 90°, sorted by position:
two_theta  intensity
29.84  62
33.83  46
34.35  100
34.52  55
35.01  60
35.18  28
41.50  64
41.78  32
58.60  31
62.07  51

Structural model:
abc: 5.9813 5.9813 6.3401
angles: 118.36 118.36 60.21
Sites, in units of the cell vectors:
Mg 0.0000 0.0000 0.0000
Zn 0.1533 0.1533 0.4572
Zn 0.4944 0.4944 0.9842
Fe 0.4871 0.4871 0.4640
Fe 0.4936 0.9921 0.9796
Fe 0.8397 0.8397 0.5223
Fe 0.9921 0.4936 0.9796
O 0.2296 0.7422 0.7106
O 0.2474 0.2474 0.2416
O 0.2481 0.7479 0.2421
O 0.2700 0.2700 0.8056
O 0.7233 0.7233 0.1702
O 0.7422 0.2296 0.7106
O 0.7422 0.7422 0.7132
O 0.7479 0.2481 0.2421

***

[4]
Structure and calculated powder diffractogram of Li9Mn2Co5O16 (a structure optimized by DFT (PBE+U); copper Kα).

Principal peaks in the range 10° ≤ 2θ ≤ 90°, sorted by position:
two_theta  intensity
18.35  100
34.53  19
35.78  14
36.89  11
37.14  8
41.55  34
43.43  29
45.08  25
61.42  9
61.90  8

Structural model:
abc: 3.0217 9.7586 9.9789
angles: 87.48 88.22 82.71
Sites, in units of the cell vectors:
Li 0.0000 0.0000 0.0000
Li 0.9999 0.0060 0.5009
Li 0.2536 0.4972 0.8742
Li 0.2591 0.4969 0.3751
Li 0.3787 0.2501 0.5638
Li 0.4984 0.0031 0.7526
Li 0.5050 0.0014 0.2525
Li 0.7562 0.5014 0.1294
Li 0.7571 0.4944 0.6268
Mn 0.3782 0.2503 0.0639
Mn 0.6285 0.7494 0.9387
Co 0.1267 0.7491 0.6866
Co 0.1316 0.7513 0.1911
Co 0.6282 0.7502 0.4392
Co 0.8704 0.2510 0.8028
Co 0.8870 0.2488 0.3250
O 0.0380 0.8653 0.8407
O 0.0796 0.8655 0.3433
O 0.1801 0.6328 0.5349
O 0.2206 0.6327 0.0377
O 0.2935 0.3638 0.7272
O 0.2959 0.3644 0.2177
O 0.4586 0.1359 0.9104
O 0.4647 0.1357 0.4003
O 0.5725 0.8669 0.5909
O 0.5781 0.8660 0.0934
O 0.6763 0.6353 0.7830
O 0.6814 0.6356 0.2858
O 0.7989 0.3610 0.9614
O 0.8171 0.3654 0.4528
O 0.9395 0.1346 0.6748
O 0.9578 0.1394 0.1660

***

[5]
Structure and calculated powder diffractogram of CaCr4Hg2O8 (a structure optimized by DFT (PBE+U); copper Kα).

Principal peaks in the range 10° ≤ 2θ ≤ 90°, sorted by position:
two_theta  intensity
26.41  22
28.65  70
31.01  28
32.67  100
33.62  28
42.73  47
50.05  20
53.35  26
56.23  21
59.33  24

Structural model:
abc: 6.7971 6.7971 6.7971
angles: 54.56 54.56 54.56
Sites, in units of the cell vectors:
Ca 0.0000 0.0000 0.0000
Cr 0.0000 0.5000 0.5000
Cr 0.5000 0.0000 0.5000
Cr 0.5000 0.5000 0.0000
Cr 0.5000 0.5000 0.5000
Hg 0.1597 0.1597 0.1597
Hg 0.8403 0.8403 0.8403
O 0.2593 0.2593 0.6957
O 0.2593 0.6957 0.2593
O 0.2840 0.2840 0.2840
O 0.3043 0.7407 0.7407
O 0.6957 0.2593 0.2593
O 0.7160 0.7160 0.7160
O 0.7407 0.3043 0.7407
O 0.7407 0.7407 0.3043

***

[6]
Structure and calculated powder diffractogram of Li4Fe3Co2Ni3O16 (a structure optimized by DFT (PBE+U); copper Kα).

Principal peaks in the range 10° ≤ 2θ ≤ 90°, sorted by position:
two_theta  intensity
19.11  59
20.02  100
26.07  31
33.96  32
36.37  36
36.90  42
40.69  33
46.37  33
61.95  23
64.08  28

Structural model:
abc: 5.8132 5.8132 9.2884
angles: 90.25 90.25 60.27
Sites, in units of the cell vectors:
Li 0.0000 0.0000 0.0000
Li 0.0003 0.0003 0.4982
Li 0.3236 0.3236 0.4000
Li 0.6581 0.6581 0.9065
Fe 0.1631 0.6535 0.7183
Fe 0.6535 0.1631 0.7183
Fe 0.8254 0.8254 0.2190
Co 0.3278 0.3278 0.9914
Co 0.6580 0.6580 0.4877
Ni 0.1667 0.1667 0.7166
Ni 0.3371 0.8224 0.2183
Ni 0.8224 0.3371 0.2183
O 0.0023 0.0023 0.8072
O 0.0036 0.0036 0.3055
O 0.0357 0.4747 0.8566
O 0.1634 0.6598 0.1035
O 0.1687 0.1687 0.1014
O 0.3240 0.3240 0.6087
O 0.3375 0.8192 0.6005
O 0.4717 0.4717 0.8547
O 0.4747 0.0357 0.8566
O 0.5124 0.5124 0.3537
O 0.5127 0.9472 0.3529
O 0.6543 0.6543 0.1151
O 0.6598 0.1634 0.1035
O 0.8192 0.3375 0.6005
O 0.8246 0.8246 0.6014
O 0.9472 0.5127 0.3529

***

[7]
Structure and calculated powder diffractogram of K2Co3P4H4O16 (a structure optimized by DFT (PBE+U); copper Kα).

Principal peaks in the range 10° ≤ 2θ ≤ 90°, sorted by position:
two_theta  intensity
16.59  30
18.34  36
25.53  25
26.38  42
27.54  90
29.83  100
31.78  41
31.95  33
34.34  31
36.20  31

Structural model:
abc: 9.2138 8.1775 9.3080
angles: 90.00 99.27 90.00
Sites, in units of the cell vectors:
K 0.0744 0.2254 0.4777
K 0.0744 0.2746 0.9777
K 0.9256 0.7254 0.0223
K 0.9256 0.7746 0.5223
Co 0.3672 0.6428 0.5047
Co 0.3672 0.8572 0.0047
Co 0.5000 0.0000 0.5000
Co 0.5000 0.5000 0.0000
Co 0.6328 0.1428 0.9953
Co 0.6328 0.3572 0.4953
P 0.1977 0.5688 0.7652
P 0.1977 0.9312 0.2652
P 0.3983 0.1983 0.2092
P 0.3983 0.3017 0.7092
P 0.6017 0.6983 0.2908
P 0.6017 0.8017 0.7908
P 0.8023 0.0688 0.7348
P 0.8023 0.4312 0.2348
H 0.1208 0.5108 0.2993
H 0.1208 0.9892 0.7993
H 0.2794 0.0268 0.7652
H 0.2794 0.4732 0.2652
H 0.7206 0.5268 0.7348
H 0.7206 0.9732 0.2348
H 0.8792 0.0108 0.2007
H 0.8792 0.4892 0.7007
O 0.0465 0.5576 0.8091
O 0.0465 0.9424 0.3091
O 0.1974 0.6588 0.6209
O 0.1974 0.8412 0.1209
O 0.2256 0.5049 0.3457
O 0.2256 0.9951 0.8457
O 0.2384 0.1252 0.2340
O 0.2384 0.3748 0.7340
O 0.3195 0.6266 0.8888
O 0.3195 0.8734 0.3888
O 0.3621 0.1352 0.6378
O 0.3621 0.3648 0.1378
O 0.4613 0.0756 0.1110
O 0.4613 0.4244 0.6110
O 0.4898 0.2045 0.3629
O 0.4898 0.2955 0.8629
O 0.5102 0.7045 0.1371
O 0.5102 0.7955 0.6371
O 0.5387 0.5756 0.3890
O 0.5387 0.9244 0.8890
O 0.6379 0.6352 0.8622
O 0.6379 0.8648 0.3622
O 0.6805 0.1266 0.6112
O 0.6805 0.3734 0.1112
O 0.7616 0.6252 0.2660
O 0.7616 0.8748 0.7660
O 0.7744 0.0049 0.1543
O 0.7744 0.4951 0.6543
O 0.8026 0.1588 0.8791
O 0.8026 0.3412 0.3791
O 0.9535 0.0576 0.6909
O 0.9535 0.4424 0.1909